Record 1
For Ta4NbOs, a GGA-PBE-relaxed structure gives the theoretical powder diffractogram in this record (Cu Kα (weighted mean of Kα1 and Kα2)).
Kinematic intensities with the Lorentz-polarization factor, no thermal factor.

Cell and atoms:
```
12
Lattice="5.4784 0.0000 0.0000 0.0000 5.2833 0.0000 0.0000 0.0000 7.5463" Properties=species:S:1:pos:R:3 pbc="T T T"
Ta 0.0000 1.2594 0.9436
Ta 0.0000 4.0239 6.6027
Ta 1.3696 1.3912 5.6597
Ta 1.3696 3.8921 1.8866
Ta 2.7392 1.2594 2.8295
Ta 2.7392 4.0239 4.7168
Ta 4.1088 1.3912 5.6597
Ta 4.1088 3.8921 1.8866
Nb 0.0000 0.0000 3.7732
Nb 2.7392 0.0000 0.0000
Os 0.0000 2.6417 3.7732
Os 2.7392 2.6417 0.0000
```

Largest 10 diffraction maxima, low angle first, 5 to 70 degrees two-theta:
d 2.679, intensity 43
d 2.642, intensity 15
d 2.315, intensity 84
d 2.286, intensity 31
d 2.270, intensity 100
d 2.217, intensity 41
d 2.164, intensity 37
d 1.473, intensity 16
d 1.454, intensity 26
d 1.370, intensity 11

---

Record 2
For K3BSe3, a GGA-PBE-relaxed structure gives the theoretical powder diffractogram in this record (Cu Kα (weighted mean of Kα1 and Kα2)).
Kinematic intensities with the Lorentz-polarization factor, no thermal factor.

Cell and atoms:
```
14
Lattice="4.7633 -8.2212 0.0000 4.7633 8.2212 0.0000 0.0000 0.0000 6.5367" Properties=species:S:1:pos:R:3 pbc="T T T"
K 4.7633 5.1296 4.9025
K 2.6986 1.5473 4.9025
K 2.6986 -1.5473 1.6342
K 6.8281 1.5473 4.9025
K 6.8281 -1.5473 1.6342
K 4.7633 -5.1296 1.6342
B 4.7633 2.7463 1.6342
B 4.7633 -2.7463 4.9025
Se 4.7633 4.7309 1.6342
Se 3.0470 1.7507 1.6342
Se 3.0470 -1.7507 4.9025
Se 6.4796 1.7507 1.6342
Se 6.4796 -1.7507 4.9025
Se 4.7633 -4.7309 4.9025
```

Largest 10 diffraction maxima, low angle first, 5 to 70 degrees two-theta:
d 8.236, intensity 20
d 5.120, intensity 60
d 4.118, intensity 72
d 3.268, intensity 73
d 3.113, intensity 100
d 2.745, intensity 24
d 2.560, intensity 39
d 2.531, intensity 30
d 2.254, intensity 79
d 2.104, intensity 20

---

Record 3
For In8Sn2Hg3, a GGA-PBE-relaxed structure gives the theoretical powder diffractogram in this record (Cu Kα (weighted mean of Kα1 and Kα2)).
Kinematic intensities with the Lorentz-polarization factor, no thermal factor.

Cell and atoms:
```
13
Lattice="8.0380 -4.1412 0.0000 8.0380 4.1412 0.0000 -0.0011 0.0000 5.5861" Properties=species:S:1:pos:R:3 pbc="T T T"
In 6.3160 2.5518 5.5838
In 2.7790 0.0000 2.7974
In 9.7589 2.5518 0.0024
In 6.1554 0.0000 2.7948
In 9.9196 0.0000 2.7914
In 6.3160 -2.5518 5.5838
In 13.2959 0.0000 2.7888
In 9.7589 -2.5518 0.0024
Sn 4.5740 0.0000 0.0053
Sn 11.5010 0.0000 5.5809
Hg 8.0375 2.5401 2.7931
Hg 8.0380 0.0000 0.0000
Hg 8.0375 -2.5401 2.7931
```

Largest 10 diffraction maxima, low angle first, 5 to 70 degrees two-theta:
d 8.038, intensity 30
d 3.681, intensity 20
d 2.793, intensity 60
d 2.721, intensity 35
d 2.641, intensity 80
d 2.563, intensity 100
d 1.949, intensity 27
d 1.582, intensity 17
d 1.564, intensity 22
d 1.424, intensity 25

---

Record 4
For AgOsPt4, a GGA-PBE-relaxed structure gives the theoretical powder diffractogram in this record (Cu Kα (weighted mean of Kα1 and Kα2)).
Kinematic intensities with the Lorentz-polarization factor, no thermal factor.

Cell and atoms:
```
6
Lattice="0.0000 3.7058 3.7058 3.7058 0.0000 3.7058 3.7058 3.7058 0.0000" Properties=species:S:1:pos:R:3 pbc="T T T"
Ag 0.0000 0.0000 0.0000
Os 5.5588 5.5588 5.5588
Pt 2.7803 2.7803 2.7803
Pt 4.6314 4.6314 2.7803
Pt 4.6314 2.7803 4.6314
Pt 2.7803 4.6314 4.6314
```

Largest 10 diffraction maxima, low angle first, 5 to 70 degrees two-theta:
d 4.279, intensity 16
d 3.706, intensity 1
d 2.620, intensity 20
d 2.235, intensity 100
d 2.140, intensity 49
d 1.853, intensity 9
d 1.700, intensity 4
d 1.657, intensity 1
d 1.513, intensity 7
d 1.426, intensity 32

---

Record 5
For PaIn2Sn, a GGA-PBE-relaxed structure gives the theoretical powder diffractogram in this record (Cu Kα (weighted mean of Kα1 and Kα2)).
Kinematic intensities with the Lorentz-polarization factor, no thermal factor.

Cell and atoms:
```
8
Lattice="-3.1901 3.9237 4.1297 3.1901 -3.9237 4.1297 3.1901 3.9237 -4.1297" Properties=species:S:1:pos:R:3 pbc="T T T"
Pa 0.0000 1.9618 0.4768
Pa 3.1901 1.9618 3.6529
In 1.5951 3.4911 -2.0648
In 1.5951 -0.4325 2.0648
In -1.5951 4.3562 2.0648
In 1.5951 4.3562 2.0648
Sn 3.1901 1.9618 0.4526
Sn 0.0000 1.9618 3.6771
```

Largest 10 diffraction maxima, low angle first, 5 to 70 degrees two-theta:
d 2.844, intensity 100
d 2.782, intensity 39
d 2.598, intensity 59
d 2.525, intensity 92
d 2.494, intensity 37
d 2.475, intensity 97
d 2.014, intensity 20
d 1.630, intensity 50
d 1.442, intensity 23
d 1.391, intensity 23

---

Record 6
For Li3Sc5S8, a GGA-PBE-relaxed structure gives the theoretical powder diffractogram in this record (Cu Kα (weighted mean of Kα1 and Kα2)).
Kinematic intensities with the Lorentz-polarization factor, no thermal factor.

Cell and atoms:
```
16
Lattice="3.6790 2.1241 6.0406 -3.6790 2.1241 6.0406 0.0000 -4.2481 6.0406" Properties=species:S:1:pos:R:3 pbc="T T T"
Li -1.8395 -1.0620 6.0406
Li -1.8395 1.0620 12.0811
Li 0.0000 2.1241 6.0405
Sc 0.0000 0.0000 0.0000
Sc -3.6790 0.0000 9.0608
Sc -1.8395 1.0620 3.0203
Sc 1.8395 1.0620 3.0203
Sc 0.0000 0.0000 9.0608
S 0.0000 0.0000 4.4908
S 0.0000 -2.1250 7.5511
S -1.8403 1.0625 7.5511
S -1.8403 -1.0625 10.5705
S 1.8403 1.0625 7.5511
S 1.8403 -1.0625 10.5705
S 0.0000 2.1250 10.5705
S 0.0000 0.0000 13.6309
```

Largest 10 diffraction maxima, low angle first, 5 to 70 degrees two-theta:
d 6.033, intensity 23
d 5.212, intensity 4
d 3.138, intensity 9
d 2.606, intensity 100
d 2.393, intensity 4
d 1.846, intensity 32
d 1.839, intensity 32
d 1.760, intensity 4
d 1.510, intensity 5
d 1.503, intensity 16

---

Record 7
For LiIr2Ru2, a GGA-PBE-relaxed structure gives the theoretical powder diffractogram in this record (Cu Kα (weighted mean of Kα1 and Kα2)).
Kinematic intensities with the Lorentz-polarization factor, no thermal factor.

Cell and atoms:
```
10
Lattice="7.5518 0.0000 0.0000 0.0000 7.5518 0.0000 0.0000 0.0000 2.7231" Properties=species:S:1:pos:R:3 pbc="T T T"
Li 0.0000 0.0000 0.0000
Li 3.7759 3.7759 0.0000
Ir 0.9282 2.8477 0.0000
Ir 2.8477 6.6236 0.0000
Ir 4.7042 0.9282 0.0000
Ir 6.6236 4.7042 0.0000
Ru 1.3091 5.0850 1.3616
Ru 2.4668 1.3091 1.3616
Ru 5.0850 6.2427 1.3616
Ru 6.2427 2.4668 1.3616
```

Largest 10 diffraction maxima, low angle first, 5 to 70 degrees two-theta:
d 5.340, intensity 85
d 3.377, intensity 13
d 2.426, intensity 9
d 2.388, intensity 33
d 2.120, intensity 100
d 2.095, intensity 25
d 1.888, intensity 20
d 1.780, intensity 12
d 1.660, intensity 18
d 1.552, intensity 10

---

Record 8
For NaGa3Cu2, a GGA-PBE-relaxed structure gives the theoretical powder diffractogram in this record (Cu Kα (weighted mean of Kα1 and Kα2)).
Kinematic intensities with the Lorentz-polarization factor, no thermal factor.

Cell and atoms:
```
12
Lattice="5.0167 -4.2290 0.0000 5.0167 4.2290 0.0000 0.0000 0.0000 5.0061" Properties=species:S:1:pos:R:3 pbc="T T T"
Na 5.0167 3.0040 3.7546
Na 5.0167 -3.0040 1.2515
Ga 3.1244 2.2833 1.2515
Ga 6.9091 2.2833 1.2515
Ga 5.0167 0.5269 1.2515
Ga 5.0167 -0.5269 3.7546
Ga 3.1244 -2.2833 3.7546
Ga 6.9091 -2.2833 3.7546
Cu 2.7900 0.0000 0.0000
Cu 2.7900 0.0000 2.5031
Cu 7.2435 0.0000 0.0000
Cu 7.2435 0.0000 2.5031
```

Largest 10 diffraction maxima, low angle first, 5 to 70 degrees two-theta:
d 6.467, intensity 44
d 5.017, intensity 48
d 3.959, intensity 23
d 2.716, intensity 33
d 2.642, intensity 32
d 2.507, intensity 24
d 2.155, intensity 46
d 1.980, intensity 100
d 1.951, intensity 24
d 1.948, intensity 31

---

Record 9
For Pa3Ni3As2, a GGA-PBE-relaxed structure gives the theoretical powder diffractogram in this record (Cu Kα (weighted mean of Kα1 and Kα2)).
Kinematic intensities with the Lorentz-polarization factor, no thermal factor.

Cell and atoms:
```
16
Lattice="2.0660 -5.1583 0.0000 2.0660 5.1583 0.0000 0.0000 0.0000 13.6570" Properties=species:S:1:pos:R:3 pbc="T T T"
Pa 2.0660 4.3238 8.2766
Pa 2.0660 4.3238 12.2089
Pa 2.0660 1.3875 10.2428
Pa 2.0660 -1.3875 3.4143
Pa 2.0660 -4.3238 1.4481
Pa 2.0660 -4.3238 5.3804
Ni 2.0660 1.4221 3.4143
Ni 2.0660 1.1723 7.3330
Ni 2.0660 1.1723 13.1525
Ni 2.0660 -1.1723 0.5045
Ni 2.0660 -1.1723 6.3240
Ni 2.0660 -1.4221 10.2428
As 2.0660 3.0051 1.4285
As 2.0660 3.0051 5.4001
As 2.0660 -3.0051 8.2570
As 2.0660 -3.0051 12.2286
```

Largest 10 diffraction maxima, low angle first, 5 to 70 degrees two-theta:
d 3.693, intensity 21
d 3.413, intensity 36
d 3.344, intensity 21
d 2.595, intensity 56
d 2.550, intensity 100
d 2.286, intensity 43
d 2.276, intensity 20
d 2.090, intensity 18
d 2.066, intensity 36
d 1.570, intensity 25

---

Record 10
For La12Al5Sn, a GGA-PBE-relaxed structure gives the theoretical powder diffractogram in this record (Cu Kα (weighted mean of Kα1 and Kα2)).
Kinematic intensities with the Lorentz-polarization factor, no thermal factor.

Cell and atoms:
```
18
Lattice="-5.0500 5.1218 5.5937 5.0500 -5.1218 5.5937 5.0500 5.1218 -5.5937" Properties=species:S:1:pos:R:3 pbc="T T T"
La 5.0500 -2.9303 3.6000
La 3.0580 0.0000 2.6985
La 7.0420 0.0000 2.6985
La 3.1888 2.8063 0.0000
La 6.9113 2.8063 0.0000
La 0.0000 2.1915 1.9938
La 5.0500 2.9303 3.6000
La -1.8613 2.3155 5.5937
La 1.8613 2.3155 5.5937
La -1.9920 5.1218 2.8952
La 1.9920 5.1218 2.8952
La 0.0000 8.0521 1.9938
Al 1.3905 0.0000 0.0000
Al 5.0500 0.0000 0.0000
Al 8.7095 0.0000 0.0000
Al 0.0000 0.0000 4.2619
Al 0.0000 0.0000 6.9256
Sn 0.0000 5.1218 0.0000
```

Largest 10 diffraction maxima, low angle first, 5 to 70 degrees two-theta:
d 3.777, intensity 18
d 3.500, intensity 19
d 3.228, intensity 42
d 3.025, intensity 100
d 2.889, intensity 45
d 2.797, intensity 18
d 2.777, intensity 34
d 2.728, intensity 23
d 2.561, intensity 27
d 1.670, intensity 20

---

Record 11
For IBr8Cl5, a GGA-PBE-relaxed structure gives the theoretical powder diffractogram in this record (Cu Kα (weighted mean of Kα1 and Kα2)).
Kinematic intensities with the Lorentz-polarization factor, no thermal factor.

Cell and atoms:
```
14
Lattice="6.0223 0.0000 0.0000 2.9378 10.1337 0.0000 2.5914 -0.4447 11.1586" Properties=species:S:1:pos:R:3 pbc="T T T"
I 0.0000 0.0000 0.0000
Br 2.4457 0.6149 8.7244
Br 3.2678 8.7746 2.3374
Br 3.1790 3.9642 2.8199
Br 4.6118 6.6834 5.2750
Br 4.5077 2.6290 8.6359
Br 4.8759 7.6205 0.3342
Br 7.0680 7.7509 6.0719
Br 4.6516 1.8789 1.1734
Cl 6.0871 4.1885 8.5278
Cl 5.6161 5.1238 4.0010
Cl 8.7625 6.3731 9.8582
Cl 9.1228 8.5188 6.6425
Cl 7.2465 3.1913 2.1375
```

Largest 10 diffraction maxima, low angle first, 5 to 70 degrees two-theta:
d 11.159, intensity 50
d 7.652, intensity 61
d 7.354, intensity 46
d 5.636, intensity 39
d 5.510, intensity 38
d 4.971, intensity 100
d 4.439, intensity 55
d 4.423, intensity 47
d 4.340, intensity 75
d 3.057, intensity 47

---

Record 12
For Cu2Ag2Se3, a GGA-PBE-relaxed structure gives the theoretical powder diffractogram in this record (Cu Kα (weighted mean of Kα1 and Kα2)).
Kinematic intensities with the Lorentz-polarization factor, no thermal factor.

Cell and atoms:
```
28
Lattice="7.2466 -6.3391 0.0000 7.2466 6.3391 0.0000 -1.8427 0.0000 6.6369" Properties=species:S:1:pos:R:3 pbc="T T T"
Cu 3.1430 3.3787 4.6689
Cu 1.4099 1.0471 5.4520
Cu 2.3313 -1.0471 2.1336
Cu 8.5862 3.3787 5.2865
Cu 4.0643 -3.3787 1.3504
Cu 10.3193 1.0471 4.5034
Cu 11.2406 -1.0471 1.1849
Cu 9.5076 -3.3787 1.9680
Ag 5.8646 4.1613 4.9777
Ag 4.2379 0.9470 1.5934
Ag 6.7860 2.0898 1.6592
Ag 3.3165 -0.9470 4.9119
Ag 9.3341 0.9470 1.7251
Ag 5.8646 -2.0898 4.9777
Ag 8.4127 -0.9470 5.0435
Ag 6.7860 -4.1613 1.6592
Se 1.7184 0.8747 0.7192
Se 4.6161 3.4693 2.6449
Se 0.7970 -0.8747 4.0377
Se 3.8454 1.4220 5.9143
Se 8.9558 3.4693 0.6736
Se 4.7668 -1.4220 2.5959
Se 7.8838 1.4220 4.0411
Se 3.6948 -3.4693 5.9633
Se 8.8051 -1.4220 0.7226
Se 11.8536 0.8747 2.5993
Se 8.0345 -3.4693 3.9921
Se 10.9322 -0.8747 5.9177
```

Largest 10 diffraction maxima, low angle first, 5 to 70 degrees two-theta:
d 4.584, intensity 61
d 3.579, intensity 74
d 3.341, intensity 57
d 3.318, intensity 69
d 2.761, intensity 45
d 2.202, intensity 100
d 2.060, intensity 92
d 2.023, intensity 40
d 2.008, intensity 74
d 1.982, intensity 40